1.
Simulated X-ray diffraction stick pattern
Compound: KBa2PtO4
Radiation: λ = 1.5418 Å (Cu Kα)
Structure: a GGA-PBE-relaxed structure
No peak broadening, texture or thermal motion is included.

Atomic structure:
```
KBa2PtO4
1.0
0.000 6.425 10.859
3.126 0.000 10.859
3.126 6.425 0.000
K Ba Pt O
2 4 2 8
direct
0.125 0.125 0.125
0.875 0.875 0.875
0.066 0.066 0.684
0.316 0.316 0.934
0.684 0.684 0.066
0.934 0.934 0.316
0.375 0.375 0.375
0.625 0.625 0.625
0.037 0.677 0.471
0.316 0.471 0.677
0.323 0.963 0.684
0.471 0.316 0.037
0.529 0.684 0.963
0.677 0.037 0.316
0.684 0.529 0.323
0.963 0.323 0.529
```

Top 10 peaks for 2θ from 10° to 90°, low angle first:
2θ = 16.32°, intensity 62
2θ = 20.00°, intensity 100
2θ = 27.77°, intensity 28
2θ = 28.10°, intensity 45
2θ = 28.30°, intensity 46
2θ = 31.84°, intensity 52
2θ = 35.98°, intensity 19
2θ = 39.92°, intensity 17
2θ = 44.01°, intensity 18
2θ = 47.74°, intensity 25

2.
Simulated X-ray diffraction stick pattern
Compound: TbInAu6
Radiation: λ = 1.5418 Å (Cu Kα)
Structure: a GGA-PBE-relaxed structure
No peak broadening, texture or thermal motion is included.

Atomic structure:
```
TbInAu6
1.0
4.731 -2.214 0.000
4.731 2.214 0.000
-3.703 0.000 7.516
Tb In Au
1 1 6
direct
0.000 0.000 0.000
0.000 0.000 0.500
0.245 0.245 0.380
0.256 0.256 0.869
0.489 0.489 0.248
0.511 0.511 0.752
0.744 0.744 0.131
0.755 0.755 0.620
```

Top 10 peaks for 2θ from 10° to 90°, low angle first:
2θ = 36.33°, intensity 100
2θ = 40.75°, intensity 19
2θ = 42.61°, intensity 16
2θ = 43.19°, intensity 15
2θ = 60.43°, intensity 11
2θ = 60.88°, intensity 11
2θ = 71.29°, intensity 14
2θ = 73.88°, intensity 12
2θ = 74.70°, intensity 12
2θ = 77.14°, intensity 11

3.
Simulated X-ray diffraction stick pattern
Compound: In2Hg7I
Radiation: λ = 1.5418 Å (Cu Kα)
Structure: a GGA-PBE-relaxed structure
No peak broadening, texture or thermal motion is included.

Atomic structure:
```
In2Hg7I
1.0
3.842 0.000 0.000
-0.040 8.421 0.000
-0.035 -3.056 9.927
In Hg I
2 7 1
direct
0.001 0.234 0.370
0.999 0.766 0.630
0.000 0.108 0.852
0.000 0.500 0.000
0.000 0.892 0.148
0.003 0.399 0.682
0.499 0.756 0.884
0.501 0.244 0.116
0.997 0.601 0.318
0.500 0.000 0.500
```

Top 10 peaks for 2θ from 10° to 90°, low angle first:
2θ = 23.15°, intensity 47
2θ = 28.23°, intensity 31
2θ = 29.50°, intensity 91
2θ = 31.89°, intensity 100
2θ = 32.13°, intensity 87
2θ = 33.61°, intensity 37
2θ = 35.03°, intensity 48
2θ = 36.52°, intensity 63
2θ = 47.32°, intensity 45
2θ = 61.21°, intensity 34